Entry 1:
Simulated powder diffraction line list of U2Ni5H5 for a wavelength of 1.5418 Å, from a cell relaxed with GGA-PBE.
Lines closer than 0.1° are merged.

Most intense lines, 10 to 90 degrees two-theta, in order of falling intensity:
2θ (°), intensity
20.8, 1000
39.5, 743
42.4, 675
38.3, 621
37.8, 529
48.1, 423
33.9, 309
51.1, 290
18.6, 282
65.3, 264

Atomic structure:
Lattice parameters (Å, degrees): 2.704 4.769 9.523 90.00 90.00 90.00
Space group Pmmm (No. 47)
Symmetry-distinct sites (fractional):
U 0.000 0.000 0.000
U 0.000 0.500 0.500
Ni 0.500 0.000 0.500
Ni 0.500 0.249 0.255
H 0.000 0.000 0.253
H 0.000 0.500 0.242
H 0.500 0.500 0.000

---

Entry 2:
Simulated powder diffraction line list of Y3Ho6Th for a wavelength of 1.5418 Å, from a cell relaxed with GGA-PBE.
Lines closer than 0.1° are merged.

Most intense lines, 10 to 90 degrees two-theta, in order of falling intensity:
2θ (°), intensity
31.6, 1000
29.2, 840
54.8, 291
43.6, 285
57.2, 217
56.3, 195
66.0, 120
73.8, 120
32.2, 107
41.7, 104

Atomic structure:
Lattice parameters (Å, degrees): 9.8044 9.8044 11.7514 90.00 90.00 120.00
Space group R32 (No. 155, hexagonal axes)
Symmetry-distinct sites (fractional):
Y 0.0000 0.0000 0.0000
Y 0.0000 0.0000 0.2421
Ho 0.0000 0.3299 0.5000
Ho 0.0000 0.6646 0.0000
Th 0.0000 0.0000 0.5000

---

Entry 3:
Simulated powder diffraction line list of CeSc2TeO8 for a wavelength of 1.5418 Å, from a cell relaxed with GGA-PBE.
Lines closer than 0.1° are merged.

Most intense lines, 10 to 90 degrees two-theta, in order of falling intensity:
2θ (°), intensity
32.4, 1000
25.9, 652
18.4, 634
26.3, 618
50.0, 437
50.5, 425
37.4, 287
64.2, 264
37.3, 227
42.2, 157

Atomic structure:
Lattice parameters (Å, degrees): 6.766 6.867 6.731 90.00 90.00 90.00
Space group Cmmm (No. 65)
Symmetry-distinct sites (fractional):
Ce 0.000 0.000 0.000
Sc 0.000 0.500 0.256
Te 0.000 0.000 0.500
O 0.000 0.192 0.285
O 0.185 0.500 0.000
O 0.211 0.500 0.500

---

Entry 4:
Simulated powder diffraction line list of Cs2TiCoS4 for a wavelength of 1.5418 Å, from a cell relaxed with GGA-PBE.
Lines closer than 0.1° are merged.

Most intense lines, 10 to 90 degrees two-theta, in order of falling intensity:
2θ (°), intensity
24.4, 1000
26.7, 909
19.9, 567
30.2, 428
38.3, 363
34.2, 320
46.3, 303
25.1, 297
55.6, 270
50.3, 256

Atomic structure:
Lattice parameters (Å, degrees): 5.636 14.210 25.535 90.00 90.00 90.00
Space group Fddd (No. 70, origin choice 2)
Symmetry-distinct sites (fractional):
Cs 0.125 0.125 0.300
Ti 0.125 0.125 0.125
Co 0.125 0.125 0.625
S 0.124 0.285 0.826